Record 1
Diffraction record for PmDyEr4. The powder diffraction line list is simulated, not measured: it uses a crystal structure in Alexandria, relaxed with PBE and copper Kα.
Peak positions follow from Bragg's law for the DFT cell and can differ from measured ones.

The 6 most intense peaks (2θ from 10° to 90°), most intense first:
2θ = 32.45°, I 100
2θ = 31.74°, I 40
2θ = 33.81°, I 30
2θ = 56.98°, I 20
2θ = 29.47°, I 18
2θ = 43.85°, I 12

```
PmDyEr4
1.0
-2.8205 11.1232 3.0309
2.8205 -11.1232 3.0309
2.8205 11.1232 -3.0309
Pm Dy Er
2 2 8
Direct
0.0000 0.0000 0.0000
0.5000 0.0000 0.5000
0.3266 0.5766 0.7500
0.6734 0.4234 0.2500
0.0910 0.9226 0.1684
0.1576 0.5663 0.5913
0.2542 0.9226 0.3316
0.4750 0.5663 0.9087
0.5250 0.4337 0.0913
0.7458 0.0774 0.6684
0.8424 0.4337 0.4087
0.9090 0.0774 0.8316
```



Record 2
Diffraction record for SmCo2H8. The powder diffraction line list is simulated, not measured: it uses a crystal structure in Alexandria, relaxed with PBE and copper Kα.
Peak positions follow from Bragg's law for the DFT cell and can differ from measured ones.

The 6 most intense peaks (2θ from 10° to 90°), most intense first:
2θ = 31.07°, I 100
2θ = 31.16°, I 57
2θ = 40.57°, I 40
2θ = 51.85°, I 25
2θ = 23.01°, I 22
2θ = 40.36°, I 20

```
SmCo2H8
1.0
2.2348 -3.8450 0.0000
2.2348 3.8450 0.0000
-0.0119 0.0000 4.3148
Sm Co H
1 2 8
Direct
0.0000 0.0000 0.0000
0.2804 0.6249 0.5009
0.6249 0.2804 0.5009
0.2316 0.9689 0.5001
0.4924 0.4924 0.2642
0.4930 0.4930 0.7380
0.5195 0.9670 0.7504
0.5200 0.9657 0.2518
0.9657 0.5200 0.2518
0.9670 0.5195 0.7504
0.9689 0.2316 0.5001
```



Record 3
Diffraction record for CaH12I2O14. The powder diffraction line list is simulated, not measured: it uses a crystal structure in Alexandria, relaxed with PBE and copper Kα.
Peak positions follow from Bragg's law for the DFT cell and can differ from measured ones.

The 6 most intense peaks (2θ from 10° to 90°), most intense first:
2θ = 17.45°, I 100
2θ = 19.98°, I 67
2θ = 10.17°, I 42
2θ = 17.83°, I 39
2θ = 24.78°, I 28
2θ = 44.83°, I 25

```
CaH12I2O14
1.0
10.1486 -2.8269 0.0000
10.1486 2.8269 0.0000
-5.9813 0.0000 9.9495
Ca H I O
2 24 4 28
Direct
0.0666 0.9334 0.7500
0.9334 0.0666 0.2500
0.0105 0.6480 0.0105
0.1212 0.7134 0.3506
0.1510 0.6193 0.8284
0.1528 0.3350 0.8109
0.2216 0.7133 0.9631
0.2867 0.7784 0.5369
0.2866 0.8788 0.1494
0.3350 0.1528 0.3109
0.3520 0.9895 0.4895
0.3808 0.5499 0.3462
0.3807 0.8490 0.6716
0.4501 0.6192 0.1538
0.5499 0.3808 0.8462
0.6193 0.1510 0.3284
0.6192 0.4501 0.6538
0.6480 0.0105 0.5105
0.6650 0.8472 0.6891
0.7134 0.1212 0.8506
0.7133 0.2216 0.4631
0.7784 0.2867 0.0369
0.8472 0.6650 0.1891
0.8490 0.3807 0.1716
0.8788 0.2866 0.6494
0.9895 0.3520 0.9895
0.0798 0.5612 0.4767
0.4388 0.9202 0.0233
0.5612 0.0798 0.9767
0.9202 0.4388 0.5233
0.0208 0.3243 0.6656
0.1002 0.1878 0.9279
0.1311 0.4453 0.6132
0.1878 0.1002 0.4279
0.2099 0.6709 0.8633
0.2105 0.7261 0.3614
0.2122 0.3705 0.9056
0.2739 0.7895 0.1386
0.2831 0.5487 0.5931
0.3243 0.0208 0.1656
0.3291 0.7901 0.6367
0.3705 0.2122 0.4056
0.4453 0.1311 0.1132
0.4513 0.7169 0.9069
0.5487 0.2831 0.0931
0.5547 0.8689 0.8868
0.6295 0.7878 0.5944
0.6709 0.2099 0.3633
0.6757 0.9792 0.8344
0.7169 0.4513 0.4069
0.7261 0.2105 0.8614
0.7878 0.6295 0.0944
0.7895 0.2739 0.6386
0.7901 0.3291 0.1367
0.8122 0.8998 0.5721
0.8689 0.5547 0.3868
0.8998 0.8122 0.0721
0.9792 0.6757 0.3344
```